Sm2Ga3Au9: computed powder diffraction line list (Cu Kα (λ = 1.5418 Å)), based on a DFT-relaxed cell (GGA-PBE, Alexandria).
Intensities are scaled so that the largest is 100.

Main lines, in order of rising 2θ (2θ from 10° to 90°):
d (Å), intensity
2.530, 100
2.408, 11
2.331, 65
2.085, 12
1.714, 19
1.381, 40

a = 8.0751 Å, b = 8.0751 Å, c = 10.7908 Å
α = 111.92°, β = 111.92°, γ = 59.99°
Positions (direct):
Sm  0.0829  0.2522  0.2461
Sm  0.2522  0.0829  0.7461
Sm  0.7478  0.9171  0.2539
Sm  0.9171  0.7478  0.7539
Ga  0.0000  0.5000  0.0000
Ga  0.1406  0.6866  0.5053
Ga  0.3134  0.8594  0.9947
Ga  0.5000  0.0000  0.5000
Ga  0.6866  0.1406  0.0053
Ga  0.8594  0.3134  0.4947
Au  0.0278  0.8575  0.0844
Au  0.1425  0.9722  0.4156
Au  0.1935  0.3585  0.5715
Au  0.1991  0.5760  0.2595
Au  0.2983  0.4810  0.9272
Au  0.3585  0.1935  0.0715
Au  0.3609  0.6391  0.7500
Au  0.4240  0.8009  0.2405
Au  0.4810  0.2983  0.4272
Au  0.5190  0.7017  0.5728
Au  0.5760  0.1991  0.7595
Au  0.6391  0.3609  0.2500
Au  0.6415  0.8065  0.9285
Au  0.7017  0.5190  0.0728
Au  0.8009  0.4240  0.7405
Au  0.8065  0.6415  0.4285
Au  0.8575  0.0278  0.5844
Au  0.9722  0.1425  0.9156

SmGa2Au8: computed powder diffraction line list (Cu Kα (λ = 1.5418 Å)), based on a DFT-relaxed cell (GGA-PBE, Alexandria).
Intensities are scaled so that the largest is 100.

Main lines, in order of rising 2θ (2θ from 10° to 90°):
d (Å), intensity
4.106, 48
2.807, 43
2.317, 100
1.985, 35
1.787, 21
1.200, 25

a = 5.6138 Å, b = 5.6138 Å, c = 8.2122 Å
α = 90.00°, β = 90.00°, γ = 90.00°
Positions (direct):
Sm  0.0000  0.0000  0.0000
Ga  0.0000  0.5000  0.5000
Ga  0.5000  0.0000  0.5000
Au  0.2540  0.2540  0.2763
Au  0.2540  0.2540  0.7237
Au  0.2540  0.7460  0.2763
Au  0.2540  0.7460  0.7237
Au  0.7460  0.2540  0.2763
Au  0.7460  0.2540  0.7237
Au  0.7460  0.7460  0.2763
Au  0.7460  0.7460  0.7237

Sm3Ga2Au9: computed powder diffraction line list (Cu Kα (λ = 1.5418 Å)), based on a DFT-relaxed cell (GGA-PBE, Alexandria).
Intensities are scaled so that the largest is 100.

Main lines, in order of rising 2θ (2θ from 10° to 90°):
d (Å), intensity
2.768, 37
2.746, 59
2.639, 100
2.243, 38
2.129, 71
2.091, 43

a = 8.6735 Å, b = 8.6735 Å, c = 8.6735 Å
α = 151.58°, β = 103.16°, γ = 83.85°
Positions (direct):
Sm  0.0000  0.0000  0.0000
Sm  0.2985  0.2985  0.0000
Sm  0.7015  0.7015  0.0000
Ga  0.3111  0.5000  0.8111
Ga  0.6889  0.5000  0.1889
Au  0.0208  0.6474  0.3734
Au  0.1573  0.8635  0.2938
Au  0.2740  0.6474  0.6266
Au  0.4303  0.1365  0.2938
Au  0.5000  0.0000  0.5000
Au  0.5697  0.8635  0.7062
Au  0.7260  0.3526  0.3734
Au  0.8427  0.1365  0.7062
Au  0.9792  0.3526  0.6266

Sm3Ga2Au7: computed powder diffraction line list (Cu Kα (λ = 1.5418 Å)), based on a DFT-relaxed cell (GGA-PBE, Alexandria).
Intensities are scaled so that the largest is 100.

Main lines, in order of rising 2θ (2θ from 10° to 90°):
d (Å), intensity
2.952, 32
2.780, 31
2.551, 100
2.307, 25
2.133, 54
1.298, 21

a = 14.6380 Å, b = 14.6380 Å, c = 14.6380 Å
α = 163.24°, β = 163.24°, γ = 23.79°
Positions (direct):
Sm  0.0000  0.0000  0.0000
Sm  0.1734  0.1734  0.0000
Sm  0.8266  0.8266  0.0000
Ga  0.3675  0.3675  0.0000
Ga  0.6325  0.6325  0.0000
Au  0.0796  0.5796  0.5000
Au  0.2776  0.2776  0.0000
Au  0.4204  0.9204  0.5000
Au  0.5000  0.5000  0.0000
Au  0.5796  0.0796  0.5000
Au  0.7224  0.7224  0.0000
Au  0.9204  0.4204  0.5000